[1]
Pu2CoF11: theoretical powder X-ray diffraction pattern (Cu Kα (weighted mean of Kα1 and Kα2)), based on DFT lattice parameters and positions (PBE+U).

Main lines, sorted by position (15 to 90 degrees two-theta):
- 17.22 deg, I 68, (2 0 0)
- 18.46 deg, I 38, (2 0 -2)
- 21.34 deg, I 19, (1 1 1)
- 22.11 deg, I 23, (1 1 -2)
- 23.44 deg, I 57, (0 2 1)
- 24.06 deg, I 100, (2 2 -1)
- 24.17 deg, I 35, (0 0 2)
- 26.48 deg, I 32, (4 0 -2)
- 33.69 deg, I 24, (2 2 1)
- 35.01 deg, I 21, (4 2 -1)

Structure:
a b c (Å): 13.4945 8.8519 9.6507
angles (deg): 90.00 130.25 90.00
Space group C2/c (No. 15)
Asymmetric unit:
Pu 0.2419 0.1284 0.1983 (multiplicity 8)
Co 0.0000 0.3385 0.2500 (multiplicity 4)
F 0.0727 0.0743 0.9532 (multiplicity 8)
F 0.0892 0.3362 0.5255 (multiplicity 8)
F 0.1240 0.4931 0.8154 (multiplicity 8)
F 0.1284 0.1931 0.2774 (multiplicity 8)
F 0.2392 0.1017 0.7700 (multiplicity 8)
F 0.2500 0.2500 0.0000 (multiplicity 4)

[2]
Li4FeTeW2O12: theoretical powder X-ray diffraction pattern (Cu Kα (weighted mean of Kα1 and Kα2)), based on DFT lattice parameters and positions (PBE+U).

Main lines, sorted by position (15 to 90 degrees two-theta):
- 20.75 deg, I 15, (0 0 2)
- 23.59 deg, I 100, (0 2 2)
- 32.69 deg, I 40, (1 1 3)
- 34.49 deg, I 27, (0 2 -2)
- 42.21 deg, I 15, (0 0 4)
- 48.26 deg, I 17, (2 2 -2)
- 53.13 deg, I 18, (1 5 3)
- 55.60 deg, I 14, (2 0 -4)
- 60.70 deg, I 10, (-3 1 3)
- 61.80 deg, I 10, (1 1 -5)

Structure:
a b c (Å): 5.4907 9.1748 9.1915
angles (deg): 69.03 86.35 86.43
Space group P1 (No. 1)
Asymmetric unit:
Li 0.0000 0.0000 0.0000 (multiplicity 1)
Li 0.0015 0.2170 0.2311 (multiplicity 1)
Li 0.0047 0.7394 0.7288 (multiplicity 1)
Li 0.0121 0.4865 0.5035 (multiplicity 1)
Li 0.3509 0.9457 0.4533 (multiplicity 1)
Li 0.3628 0.4533 0.9450 (multiplicity 1)
Li 0.4585 0.7391 0.2557 (multiplicity 1)
Li 0.4755 0.2430 0.7482 (multiplicity 1)
Fe 0.4252 0.0967 0.0951 (multiplicity 1)
Fe 0.4255 0.5925 0.5983 (multiplicity 1)
Te 0.9091 0.0940 0.6023 (multiplicity 1)
Te 0.9330 0.5963 0.1042 (multiplicity 1)
W 0.4194 0.8446 0.8543 (multiplicity 1)
W 0.4282 0.3340 0.3492 (multiplicity 1)
W 0.9089 0.8445 0.3498 (multiplicity 1)
W 0.9119 0.3530 0.8433 (multiplicity 1)
O 0.0885 0.7916 0.9646 (multiplicity 1)
O 0.0907 0.2750 0.4781 (multiplicity 1)
O 0.0965 0.2213 0.0174 (multiplicity 1)
O 0.1010 0.7256 0.5241 (multiplicity 1)
O 0.1999 0.9583 0.6584 (multiplicity 1)
O 0.2038 0.9143 0.2229 (multiplicity 1)
O 0.2132 0.4080 0.7172 (multiplicity 1)
O 0.2410 0.4583 0.1577 (multiplicity 1)
O 0.3745 0.1584 0.2878 (multiplicity 1)
O 0.3951 0.0307 0.8997 (multiplicity 1)
O 0.3979 0.5130 0.4087 (multiplicity 1)
O 0.4013 0.6703 0.7831 (multiplicity 1)
O 0.5624 0.7325 0.0392 (multiplicity 1)
O 0.5893 0.2055 0.5469 (multiplicity 1)
O 0.5994 0.7784 0.4585 (multiplicity 1)
O 0.6059 0.2825 0.9587 (multiplicity 1)
O 0.7197 0.9050 0.7201 (multiplicity 1)
O 0.7247 0.4575 0.6610 (multiplicity 1)
O 0.7265 0.3669 0.2456 (multiplicity 1)
O 0.7255 0.9640 0.1689 (multiplicity 1)
O 0.8971 0.1499 0.7852 (multiplicity 1)
O 0.9045 0.0314 0.4178 (multiplicity 1)
O 0.9187 0.6538 0.2976 (multiplicity 1)
O 0.9276 0.5344 0.8921 (multiplicity 1)

> What is the formula in the first record?

Pu2CoF11